[1]
Diffraction record for Tb3Nd4Er2. The powder XRD pattern is computed, not measured: it uses the PBE geometry in Alexandria and Cu Kα (weighted mean of Kα1 and Kα2).

Crystal structure
abc: 6.6831 6.6831 14.4107
angles: 114.78 114.78 31.75
Atoms (fractional coordinates):
Tb  0.0000  0.0000  0.0000
Tb  0.0077  0.0077  0.3877
Tb  0.9923  0.9923  0.6123
Nd  0.2219  0.2219  0.8719
Nd  0.2832  0.2832  0.3921
Nd  0.7168  0.7168  0.6079
Nd  0.7781  0.7781  0.1281
Er  0.4507  0.4507  0.7906
Er  0.5493  0.5493  0.2094

Main lines, low angle first (10 to 90 degrees two-theta):
d = 2.913 Å, I 100
d = 2.893 Å, I 28
d = 2.867 Å, I 21
d = 2.765 Å, I 43
d = 2.642 Å, I 31
d = 2.594 Å, I 25

[2]
Diffraction record for Tb7NdEr3. The powder XRD pattern is computed, not measured: it uses the PBE geometry in Alexandria and Cu Kα (weighted mean of Kα1 and Kα2).

Crystal structure
abc: 6.9596 5.5516 9.8650
angles: 90.00 109.66 90.00
Atoms (fractional coordinates):
Tb  0.0000  0.0000  0.0000
Tb  0.1472  0.5000  0.2902
Tb  0.3261  0.5000  0.6431
Tb  0.4244  0.0000  0.8319
Tb  0.5756  0.0000  0.1681
Tb  0.6739  0.5000  0.3569
Tb  0.8528  0.5000  0.7098
Nd  0.0000  0.0000  0.5000
Er  0.2768  0.5000  0.9967
Er  0.5000  0.0000  0.5000
Er  0.7232  0.5000  0.0033

Main lines, low angle first (10 to 90 degrees two-theta):
d = 2.822 Å, I 100
d = 2.808 Å, I 76
d = 2.798 Å, I 90
d = 2.776 Å, I 96
d = 2.704 Å, I 99
d = 1.474 Å, I 40

[3]
Diffraction record for Tb12NdEr5. The powder XRD pattern is computed, not measured: it uses the PBE geometry in Alexandria and Cu Kα (weighted mean of Kα1 and Kα2).

Crystal structure
abc: 10.3159 10.3159 5.6889
angles: 90.00 90.00 109.39
Atoms (fractional coordinates):
Tb  0.0283  0.6695  0.5008
Tb  0.1691  0.5292  0.9992
Tb  0.1969  0.1969  0.0085
Tb  0.2979  0.2979  0.5087
Tb  0.3305  0.9717  0.4992
Tb  0.4708  0.8309  0.0008
Tb  0.5292  0.1691  0.9992
Tb  0.6695  0.0283  0.5008
Tb  0.7021  0.7021  0.4913
Tb  0.8031  0.8031  0.9915
Tb  0.8309  0.4708  0.0008
Tb  0.9717  0.3305  0.4992
Nd  0.5000  0.5000  0.0000
Er  0.0000  0.0000  0.5000
Er  0.1375  0.8625  0.0000
Er  0.3612  0.6388  0.5000
Er  0.6388  0.3612  0.5000
Er  0.8625  0.1375  0.0000

Main lines, low angle first (10 to 90 degrees two-theta):
d = 2.844 Å, I 26
d = 2.817 Å, I 100
d = 2.806 Å, I 17
d = 1.998 Å, I 18
d = 1.637 Å, I 19
d = 1.623 Å, I 15

Question: What is the formula in the third record?
Answer: Tb12NdEr5